No. 1
For K2AgOsO6, a cell relaxed with GGA-PBE gives the theoretical X-ray diffraction stick pattern in this record (a wavelength of 1.5418 Å).
Lines closer than 0.1° are merged.

Main lines, most intense first (5 to 70 degrees two-theta):
- 2θ = 16.85°, intensity 100
- 2θ = 29.41°, intensity 38
- 2θ = 35.36°, intensity 34
- 2θ = 46.63°, intensity 23
- 2θ = 56.09°, intensity 21
- 2θ = 43.14°, intensity 17
- 2θ = 15.29°, intensity 12
- 2θ = 45.62°, intensity 11
- 2θ = 34.08°, intensity 9
- 2θ = 61.01°, intensity 7

Atomic structure:
abc: 6.0748 6.0748 5.7964
angles: 90.00 90.00 120.00
Space group P-3m1 (No. 164)
Symmetry-distinct sites (fractional):
K 0.3333 0.6667 0.1678 [2 per cell]
Ag 0.0000 0.0000 0.5000 [1 per cell]
Os 0.0000 0.0000 0.0000 [1 per cell]
O 0.1449 0.2897 0.8094 [6 per cell]

No. 2
For KAgPdO3, a cell relaxed with GGA-PBE gives the theoretical X-ray diffraction stick pattern in this record (a wavelength of 1.5418 Å).
Lines closer than 0.1° are merged.

Main lines, most intense first (5 to 70 degrees two-theta):
- 2θ = 12.23°, intensity 100
- 2θ = 35.37°, intensity 46
- 2θ = 33.60°, intensity 45
- 2θ = 32.18°, intensity 38
- 2θ = 15.93°, intensity 28
- 2θ = 23.88°, intensity 26
- 2θ = 42.08°, intensity 26
- 2θ = 41.54°, intensity 23
- 2θ = 35.19°, intensity 21
- 2θ = 54.45°, intensity 21

Atomic structure:
abc: 3.2009 14.4747 8.6949
angles: 90.00 90.00 90.00
Space group Cmcm (No. 63)
Symmetry-distinct sites (fractional):
K 0.0000 0.1721 0.2500 [4 per cell]
Ag 0.0000 0.1095 0.7500 [4 per cell]
Pd 0.0000 0.5000 0.0000 [4 per cell]
O 0.0000 0.0911 0.5120 [8 per cell]
O 0.0000 0.4721 0.7500 [4 per cell]

No. 3
For KAgPtO2, a cell relaxed with GGA-PBE gives the theoretical X-ray diffraction stick pattern in this record (a wavelength of 1.5418 Å).
Lines closer than 0.1° are merged.

Main lines, most intense first (5 to 70 degrees two-theta):
- 2θ = 13.82°, intensity 100
- 2θ = 36.89°, intensity 42
- 2θ = 44.53°, intensity 34
- 2θ = 27.85°, intensity 27
- 2θ = 34.03°, intensity 24
- 2θ = 40.54°, intensity 24
- 2θ = 55.38°, intensity 16
- 2θ = 37.92°, intensity 11
- 2θ = 18.70°, intensity 10
- 2θ = 67.82°, intensity 8

Atomic structure:
abc: 6.3346 6.4074 4.7456
angles: 90.00 90.00 90.00
Space group Pmma (No. 51)
Symmetry-distinct sites (fractional):
K 0.2500 0.0000 0.2186 [2 per cell]
Ag 0.0000 0.5000 0.5000 [2 per cell]
Pt 0.2500 0.5000 0.9982 [2 per cell]
O 0.0000 0.2929 0.0000 [4 per cell]

No. 4
For KPuAg2O8, a cell relaxed with GGA-PBE gives the theoretical X-ray diffraction stick pattern in this record (a wavelength of 1.5418 Å).
Lines closer than 0.1° are merged.

Main lines, most intense first (5 to 70 degrees two-theta):
- 2θ = 27.40°, intensity 100
- 2θ = 26.73°, intensity 86
- 2θ = 47.61°, intensity 58
- 2θ = 16.54°, intensity 45
- 2θ = 18.81°, intensity 35
- 2θ = 48.84°, intensity 32
- 2θ = 38.16°, intensity 23
- 2θ = 40.10°, intensity 18
- 2θ = 56.55°, intensity 16
- 2θ = 62.58°, intensity 15

Atomic structure:
abc: 6.6712 6.6712 8.9947
angles: 90.00 90.00 90.00
Space group I-4m2 (No. 119)
Symmetry-distinct sites (fractional):
K 0.0000 0.0000 0.0000 [2 per cell]
Pu 0.0000 0.5000 0.2500 [2 per cell]
Ag 0.0000 0.0000 0.5000 [2 per cell]
Ag 0.0000 0.5000 0.7500 [2 per cell]
O 0.0000 0.2169 0.2785 [8 per cell]
O 0.0000 0.3954 0.9933 [8 per cell]

No. 5
For KRb5Ag2O, a cell relaxed with GGA-PBE gives the theoretical X-ray diffraction stick pattern in this record (a wavelength of 1.5418 Å).
Lines closer than 0.1° are merged.

Main lines, most intense first (5 to 70 degrees two-theta):
- 2θ = 26.38°, intensity 100
- 2θ = 30.40°, intensity 38
- 2θ = 51.63°, intensity 27
- 2θ = 43.87°, intensity 25
- 2θ = 30.86°, intensity 18
- 2θ = 52.22°, intensity 13
- 2θ = 43.54°, intensity 13
- 2θ = 54.31°, intensity 13
- 2θ = 13.10°, intensity 8
- 2θ = 21.53°, intensity 5

Atomic structure:
abc: 8.3153 8.3153 11.5897
angles: 90.00 90.00 90.00
Space group I4mm (No. 107)
Symmetry-distinct sites (fractional):
K 0.0000 0.0000 0.0000 [2 per cell]
Rb 0.0000 0.0000 0.5413 [2 per cell]
Rb 0.2328 0.2328 0.7743 [8 per cell]
Ag 0.0000 0.5000 0.0229 [4 per cell]
O 0.0000 0.0000 0.7756 [2 per cell]